Record 1
Simulated XRD peak list
Compound: BaAlO5
Radiation: Cu Ka
Structure: a cell relaxed with GGA-PBE
No peak broadening, texture or thermal motion is included.

Largest 10 diffraction maxima, sorted by position, 10° ≤ 2θ ≤ 80°:
2θ/deg	Rel. int.
14.4	100
18.1	35
21.1	28
21.5	30
23.8	48
25.9	44
26.6	32
29.3	32
33.2	29
40.7	31

Cell and atoms:
```
data_BaAlO5
_symmetry_space_group_name_H-M 'P 1'
_symmetry_Int_Tables_number 1
_cell_length_a 5.800
_cell_length_b 6.588
_cell_length_c 6.880
_cell_angle_alpha 77.52
_cell_angle_beta 89.96
_cell_angle_gamma 73.20
loop_
_symmetry_equiv_pos_as_xyz
'x,y,z'
loop_
_atom_site_label
_atom_site_type_symbol
_atom_site_fract_x
_atom_site_fract_y
_atom_site_fract_z
Ba1 Ba 0.232 0.040 0.234
Ba2 Ba 0.768 0.960 0.766
Al1 Al 0.132 0.359 0.662
Al2 Al 0.868 0.641 0.338
O1 O 0.038 0.657 0.568
O2 O 0.046 0.726 0.132
O3 O 0.260 0.034 0.766
O4 O 0.325 0.294 0.896
O5 O 0.365 0.257 0.499
O6 O 0.635 0.743 0.501
O7 O 0.675 0.706 0.104
O8 O 0.740 0.966 0.234
O9 O 0.954 0.274 0.868
O10 O 0.962 0.343 0.432
```


Record 2
Simulated XRD peak list
Compound: BaAl2O6
Radiation: Cu Ka
Structure: a cell relaxed with GGA-PBE
No peak broadening, texture or thermal motion is included.

Largest 10 diffraction maxima, sorted by position, 10° ≤ 2θ ≤ 80°:
2θ/deg	Rel. int.
16.1	67
18.4	35
20.1	100
24.3	90
24.6	85
30.7	52
33.4	51
37.5	33
37.7	46
38.2	50

Cell and atoms:
```
data_BaAl2O6
_symmetry_space_group_name_H-M 'P 1'
_symmetry_Int_Tables_number 1
_cell_length_a 5.539
_cell_length_b 9.831
_cell_length_c 10.983
_cell_angle_alpha 90.00
_cell_angle_beta 90.00
_cell_angle_gamma 90.00
loop_
_symmetry_equiv_pos_as_xyz
'x,y,z'
loop_
_atom_site_label
_atom_site_type_symbol
_atom_site_fract_x
_atom_site_fract_y
_atom_site_fract_z
Ba1 Ba 0.122 0.042 0.000
Ba2 Ba 0.378 0.542 0.500
Ba3 Ba 0.622 0.458 0.000
Ba4 Ba 0.878 0.958 0.500
Al1 Al 0.111 0.343 0.817
Al2 Al 0.176 0.671 0.851
Al3 Al 0.324 0.171 0.351
Al4 Al 0.389 0.843 0.317
Al5 Al 0.611 0.157 0.817
Al6 Al 0.676 0.829 0.851
Al7 Al 0.824 0.329 0.351
Al8 Al 0.889 0.657 0.317
O1 O 0.038 0.215 0.416
O2 O 0.091 0.887 0.748
O3 O 0.110 0.503 0.891
O4 O 0.120 0.398 0.662
O5 O 0.144 0.746 0.367
O6 O 0.204 0.689 0.688
O7 O 0.296 0.189 0.188
O8 O 0.356 0.246 0.867
O9 O 0.380 0.898 0.162
O10 O 0.390 0.003 0.391
O11 O 0.409 0.387 0.248
O12 O 0.462 0.715 0.916
O13 O 0.538 0.285 0.416
O14 O 0.591 0.613 0.748
O15 O 0.610 0.997 0.891
O16 O 0.620 0.102 0.662
O17 O 0.644 0.754 0.367
O18 O 0.704 0.811 0.688
O19 O 0.796 0.311 0.188
O20 O 0.856 0.254 0.867
O21 O 0.880 0.602 0.162
O22 O 0.890 0.497 0.391
O23 O 0.909 0.113 0.248
O24 O 0.962 0.785 0.916
```


Record 3
Simulated XRD peak list
Compound: BaAl3P2O14
Radiation: Cu Ka
Structure: a cell relaxed with GGA-PBE
No peak broadening, texture or thermal motion is included.

Largest 10 diffraction maxima, sorted by position, 10° ≤ 2θ ≤ 80°:
2θ/deg	Rel. int.
15.2	59
15.3	100
25.3	79
28.8	21
29.0	54
29.2	53
29.4	49
37.0	42
46.9	34
51.9	29

Cell and atoms:
```
data_BaAl3P2O14
_symmetry_space_group_name_H-M 'P 1'
_symmetry_Int_Tables_number 1
_cell_length_a 7.045
_cell_length_b 7.045
_cell_length_c 7.479
_cell_angle_alpha 118.94
_cell_angle_beta 118.94
_cell_angle_gamma 59.95
loop_
_symmetry_equiv_pos_as_xyz
'x,y,z'
loop_
_atom_site_label
_atom_site_type_symbol
_atom_site_fract_x
_atom_site_fract_y
_atom_site_fract_z
Ba1 Ba 0.000 0.000 0.000
Al1 Al 0.001 0.499 0.503
Al2 Al 0.499 0.001 0.503
Al3 Al 0.994 0.994 0.492
P1 P 0.302 0.302 0.896
P2 P 0.698 0.698 0.107
O1 O 0.085 0.747 0.578
O2 O 0.150 0.509 0.806
O3 O 0.154 0.154 0.815
O4 O 0.249 0.249 0.422
O5 O 0.253 0.913 0.427
O6 O 0.388 0.388 0.144
O7 O 0.491 0.854 0.198
O8 O 0.509 0.150 0.806
O9 O 0.604 0.604 0.862
O10 O 0.745 0.745 0.574
O11 O 0.747 0.085 0.578
O12 O 0.847 0.847 0.188
O13 O 0.854 0.491 0.198
O14 O 0.913 0.253 0.427
```


Record 4
Simulated XRD peak list
Compound: BaAl3P2O14
Radiation: Cu Ka
Structure: a cell relaxed with GGA-PBE
No peak broadening, texture or thermal motion is included.

Largest 10 diffraction maxima, sorted by position, 10° ≤ 2θ ≤ 80°:
2θ/deg	Rel. int.
15.3	90
25.2	47
29.2	100
30.8	12
37.3	35
40.3	17
47.0	33
51.8	22
58.7	16
72.6	12

Cell and atoms:
```
data_BaAl3P2O14
_symmetry_space_group_name_H-M 'P 1'
_symmetry_Int_Tables_number 1
_cell_length_a 7.349
_cell_length_b 7.349
_cell_length_c 7.349
_cell_angle_alpha 57.38
_cell_angle_beta 57.38
_cell_angle_gamma 57.38
loop_
_symmetry_equiv_pos_as_xyz
'x,y,z'
loop_
_atom_site_label
_atom_site_type_symbol
_atom_site_fract_x
_atom_site_fract_y
_atom_site_fract_z
Ba1 Ba 0.000 0.000 0.000
Al1 Al 0.000 0.000 0.500
Al2 Al 0.000 0.500 0.000
Al3 Al 0.500 0.000 0.000
P1 P 0.300 0.300 0.300
P2 P 0.700 0.700 0.700
O1 O 0.081 0.748 0.748
O2 O 0.151 0.151 0.510
O3 O 0.151 0.510 0.151
O4 O 0.252 0.252 0.919
O5 O 0.252 0.919 0.252
O6 O 0.383 0.383 0.383
O7 O 0.490 0.849 0.849
O8 O 0.510 0.151 0.151
O9 O 0.617 0.617 0.617
O10 O 0.748 0.081 0.748
O11 O 0.748 0.748 0.081
O12 O 0.849 0.490 0.849
O13 O 0.849 0.849 0.490
O14 O 0.919 0.252 0.252
```